(1)
Structure and calculated PXRD pattern of La2MgFe2W2O12 (a PBE+U-relaxed structure; Cu Kα).

Atomic structure:
Lattice parameters (Å, degrees): 5.541 5.658 7.862 91.72 90.30 90.19
Fractional coordinates of all 19 atoms:
La1 0.000 0.000 0.000
La2 0.490 0.522 0.463
Mg1 0.995 0.511 0.727
Fe1 0.491 0.018 0.230
Fe2 0.983 0.932 0.517
W1 0.493 0.035 0.726
W2 0.991 0.519 0.215
O1 0.062 0.561 0.469
O2 0.202 0.841 0.754
O3 0.218 0.246 0.196
O4 0.263 0.757 0.184
O5 0.316 0.318 0.741
O6 0.392 0.015 0.478
O7 0.565 0.025 0.964
O8 0.696 0.749 0.674
O9 0.722 0.293 0.268
O10 0.776 0.810 0.275
O11 0.796 0.201 0.665
O12 0.931 0.538 0.980

Top 6 peaks for 2θ = 10–90°, in order of rising 2θ:
19.1 deg, I 37; 19.6 deg, I 100; 31.7 deg, I 78; 31.8 deg, I 38; 32.3 deg, I 76; 32.5 deg, I 37

---

(2)
Structure and calculated PXRD pattern of MgCr2O4 (a PBE+U-relaxed structure; Cu Kα).

Atomic structure:
Lattice parameters (Å, degrees): 7.413 7.413 9.401 128.94 128.94 23.13
Fractional coordinates of all 14 atoms:
Mg1 0.178 0.178 0.193
Mg2 0.822 0.822 0.807
Cr1 0.134 0.134 0.454
Cr2 0.356 0.356 0.183
Cr3 0.644 0.644 0.817
Cr4 0.866 0.866 0.546
O1 0.038 0.038 0.757
O2 0.282 0.282 0.914
O3 0.332 0.332 0.666
O4 0.361 0.361 0.405
O5 0.639 0.639 0.595
O6 0.668 0.668 0.334
O7 0.718 0.718 0.086
O8 0.962 0.962 0.243

Top 6 peaks for 2θ = 10–90°, in order of rising 2θ:
12.3 deg, I 85; 15.9 deg, I 76; 18.9 deg, I 56; 32.1 deg, I 65; 35.5 deg, I 100; 50.2 deg, I 50

---

(3)
Structure and calculated PXRD pattern of NaV2Bi3O10 (a PBE+U-relaxed structure; Cu Kα).

Atomic structure:
Lattice parameters (Å, degrees): 5.667 7.115 7.223 68.83 85.45 68.66
Fractional coordinates of all 16 atoms:
Na1 0.000 0.000 0.000
V1 0.346 0.360 0.094
V2 0.762 0.649 0.404
Bi1 0.112 0.014 0.500
Bi2 0.477 0.279 0.633
Bi3 0.653 0.706 0.881
O1 0.004 0.690 0.490
O2 0.074 0.345 0.025
O3 0.306 0.015 0.753
O4 0.313 0.625 0.058
O5 0.421 0.197 0.351
O6 0.501 0.712 0.551
O7 0.587 0.282 0.938
O8 0.698 0.792 0.148
O9 0.812 0.980 0.722
O10 0.835 0.369 0.461

Top 6 peaks for 2θ = 10–90°, in order of rising 2θ:
13.2 deg, I 97; 15.6 deg, I 64; 20.8 deg, I 64; 25.9 deg, I 87; 27.7 deg, I 100; 28.3 deg, I 88